# 1
This entry pairs a crystal structure of Sc3Hg5 with its calculated powder XRD pattern. Radiation: Cu Kα (λ = 1.5418 Å). Structure: a PBE-relaxed structure.
No peak broadening, texture or thermal motion is included.

The 10 most intense peaks (2θ = 15–90°), low angle first:
| Position (°2θ) | intensity |
| --- | --- |
| 23.80 | 122 |
| 24.05 | 138 |
| 26.02 | 202 |
| 35.72 | 1000 |
| 37.13 | 484 |
| 41.38 | 102 |
| 44.72 | 92 |
| 53.51 | 146 |
| 63.24 | 112 |
| 66.01 | 251 |

Cell and atoms:
a = 6.096 Å, b = 6.096 Å, c = 9.686 Å
α = 90.00°, β = 90.00°, γ = 74.77°
Positions (direct):
Sc (0.042, 0.958, 0.750)
Sc (0.278, 0.278, 0.000)
Sc (0.278, 0.278, 0.500)
Sc (0.722, 0.722, 0.000)
Sc (0.722, 0.722, 0.500)
Sc (0.958, 0.042, 0.250)
Hg (0.028, 0.523, 0.250)
Hg (0.215, 0.785, 0.020)
Hg (0.215, 0.785, 0.480)
Hg (0.454, 0.546, 0.750)
Hg (0.477, 0.972, 0.250)
Hg (0.523, 0.028, 0.750)
Hg (0.546, 0.454, 0.250)
Hg (0.785, 0.215, 0.520)
Hg (0.785, 0.215, 0.980)
Hg (0.972, 0.477, 0.750)

***

# 2
This entry pairs a crystal structure of Li4Al2PdAu with its calculated powder XRD pattern. Radiation: Cu Kα (λ = 1.5418 Å). Structure: a PBE-relaxed structure.
No peak broadening, texture or thermal motion is included.

The 10 most intense peaks (2θ = 15–90°), low angle first:
| Position (°2θ) | intensity |
| --- | --- |
| 25.17 | 1000 |
| 29.14 | 367 |
| 41.69 | 642 |
| 49.32 | 490 |
| 51.67 | 103 |
| 60.38 | 72 |
| 66.51 | 200 |
| 68.44 | 88 |
| 76.09 | 218 |
| 81.60 | 116 |

Cell and atoms:
a = 4.336 Å, b = 4.336 Å, c = 6.121 Å
α = 90.00°, β = 90.00°, γ = 90.00°
Positions (direct):
Li (0.000, 0.000, 0.000)
Li (0.000, 0.500, 0.748)
Li (0.500, 0.000, 0.252)
Li (0.500, 0.500, 0.500)
Al (0.000, 0.500, 0.261)
Al (0.500, 0.000, 0.739)
Pd (0.000, 0.000, 0.500)
Au (0.500, 0.500, 0.000)

***

# 3
This entry pairs a crystal structure of NaZrFeSe3 with its calculated powder XRD pattern. Radiation: Cu Kα (λ = 1.5418 Å). Structure: a PBE-relaxed structure.
No peak broadening, texture or thermal motion is included.

The 10 most intense peaks (2θ = 15–90°), low angle first:
| Position (°2θ) | intensity |
| --- | --- |
| 29.64 | 497 |
| 30.59 | 347 |
| 31.89 | 623 |
| 35.54 | 1000 |
| 35.74 | 278 |
| 43.23 | 210 |
| 44.43 | 534 |
| 48.13 | 294 |
| 49.07 | 224 |
| 55.49 | 210 |

Cell and atoms:
a = 7.161 Å, b = 7.161 Å, c = 10.048 Å
α = 90.00°, β = 90.00°, γ = 149.38°
Positions (direct):
Na (0.243, 0.757, 0.750)
Na (0.757, 0.243, 0.250)
Zr (0.000, 0.000, 0.000)
Zr (0.000, 0.000, 0.500)
Fe (0.472, 0.528, 0.250)
Fe (0.528, 0.472, 0.750)
Se (0.086, 0.914, 0.250)
Se (0.365, 0.635, 0.061)
Se (0.365, 0.635, 0.439)
Se (0.635, 0.365, 0.561)
Se (0.635, 0.365, 0.939)
Se (0.914, 0.086, 0.750)

***

# 4
This entry pairs a crystal structure of GdDyNO with its calculated powder XRD pattern. Radiation: Cu Kα (λ = 1.5418 Å). Structure: a PBE-relaxed structure.
No peak broadening, texture or thermal motion is included.

The 10 most intense peaks (2θ = 15–90°), low angle first:
| Position (°2θ) | intensity |
| --- | --- |
| 25.78 | 424 |
| 31.68 | 1000 |
| 36.68 | 222 |
| 45.37 | 301 |
| 45.51 | 238 |
| 56.41 | 138 |
| 56.58 | 67 |
| 59.69 | 104 |
| 59.81 | 207 |
| 62.94 | 149 |

Cell and atoms:
a = 4.900 Å, b = 3.998 Å, c = 6.898 Å
α = 90.00°, β = 90.00°, γ = 90.00°
Positions (direct):
Gd (0.250, 0.000, 0.165)
Gd (0.750, 0.000, 0.835)
Dy (0.250, 0.500, 0.668)
Dy (0.750, 0.500, 0.332)
N (0.250, 0.500, 0.339)
N (0.750, 0.500, 0.661)
O (0.250, 0.000, 0.821)
O (0.750, 0.000, 0.179)

***

# 5
This entry pairs a crystal structure of GdDySi2Pt4 with its calculated powder XRD pattern. Radiation: Cu Kα (λ = 1.5418 Å). Structure: a PBE-relaxed structure.
No peak broadening, texture or thermal motion is included.

The 10 most intense peaks (2θ = 15–90°), low angle first:
| Position (°2θ) | intensity |
| --- | --- |
| 27.46 | 186 |
| 34.95 | 666 |
| 35.24 | 1000 |
| 37.24 | 272 |
| 42.09 | 344 |
| 43.69 | 226 |
| 46.42 | 274 |
| 64.44 | 198 |
| 64.86 | 244 |
| 68.67 | 184 |

Cell and atoms:
a = 7.099 Å, b = 3.912 Å, c = 10.208 Å
α = 90.00°, β = 90.00°, γ = 90.00°
Positions (direct):
Gd (0.000, 0.000, 0.000)
Gd (0.000, 0.500, 0.500)
Dy (0.500, 0.000, 0.107)
Dy (0.500, 0.500, 0.607)
Si (0.000, 0.000, 0.283)
Si (0.000, 0.500, 0.783)
Si (0.500, 0.000, 0.824)
Si (0.500, 0.500, 0.324)
Pt (0.201, 0.000, 0.698)
Pt (0.201, 0.500, 0.198)
Pt (0.301, 0.000, 0.409)
Pt (0.301, 0.500, 0.909)
Pt (0.699, 0.000, 0.409)
Pt (0.699, 0.500, 0.909)
Pt (0.799, 0.000, 0.698)
Pt (0.799, 0.500, 0.198)

***

# 6
This entry pairs a crystal structure of BaHoHgAs2 with its calculated powder XRD pattern. Radiation: Cu Kα (λ = 1.5418 Å). Structure: a PBE-relaxed structure.
No peak broadening, texture or thermal motion is included.

The 10 most intense peaks (2θ = 15–90°), low angle first:
| Position (°2θ) | intensity |
| --- | --- |
| 15.55 | 351 |
| 24.65 | 482 |
| 28.33 | 428 |
| 31.39 | 295 |
| 31.92 | 557 |
| 32.31 | 931 |
| 32.64 | 1000 |
| 35.57 | 788 |
| 42.36 | 435 |
| 54.03 | 363 |

Cell and atoms:
a = 9.356 Å, b = 9.356 Å, c = 7.307 Å
α = 90.00°, β = 90.00°, γ = 153.64°
Positions (direct):
Ba (0.194, 0.806, 0.500)
Ba (0.806, 0.194, 0.000)
Ho (0.022, 0.978, 0.170)
Ho (0.978, 0.022, 0.670)
Hg (0.389, 0.611, 0.346)
Hg (0.611, 0.389, 0.846)
As (0.169, 0.831, 0.036)
As (0.459, 0.541, 0.945)
As (0.541, 0.459, 0.445)
As (0.831, 0.169, 0.536)

***

# 7
This entry pairs a crystal structure of Sr2Er2As2OF2 with its calculated powder XRD pattern. Radiation: Cu Kα (λ = 1.5418 Å). Structure: a PBE-relaxed structure.
No peak broadening, texture or thermal motion is included.

The 10 most intense peaks (2θ = 15–90°), low angle first:
| Position (°2θ) | intensity |
| --- | --- |
| 19.10 | 280 |
| 30.01 | 739 |
| 31.37 | 584 |
| 34.45 | 1000 |
| 40.59 | 672 |
| 48.74 | 323 |
| 52.18 | 268 |
| 58.75 | 221 |
| 67.38 | 221 |
| 69.91 | 250 |

Cell and atoms:
a = 9.809 Å, b = 9.809 Å, c = 9.809 Å
α = 153.81°, β = 153.81°, γ = 37.38°
Positions (direct):
Sr (0.186, 0.186, 0.000)
Sr (0.814, 0.814, 0.000)
Er (0.000, 0.500, 0.500)
Er (0.500, 0.000, 0.500)
As (0.397, 0.397, 0.000)
As (0.603, 0.603, 0.000)
O (0.000, 0.000, 0.000)
F (0.250, 0.750, 0.500)
F (0.750, 0.250, 0.500)

***

# 8
This entry pairs a crystal structure of FeCu4Ge2S7 with its calculated powder XRD pattern. Radiation: Cu Kα (λ = 1.5418 Å). Structure: a PBE-relaxed structure.
No peak broadening, texture or thermal motion is included.

The 10 most intense peaks (2θ = 15–90°), low angle first:
| Position (°2θ) | intensity |
| --- | --- |
| 29.14 | 1000 |
| 33.51 | 38 |
| 48.30 | 201 |
| 48.51 | 197 |
| 48.70 | 197 |
| 57.24 | 131 |
| 57.57 | 131 |
| 57.95 | 128 |
| 78.24 | 50 |
| 78.56 | 49 |

Cell and atoms:
a = 6.474 Å, b = 6.474 Å, c = 8.392 Å
α = 97.66°, β = 97.66°, γ = 48.80°
Positions (direct):
Fe (0.000, 0.000, 0.000)
Cu (0.156, 0.129, 0.434)
Cu (0.297, 0.281, 0.858)
Cu (0.719, 0.703, 0.142)
Cu (0.871, 0.844, 0.566)
Ge (0.416, 0.434, 0.282)
Ge (0.566, 0.584, 0.718)
S (0.041, 0.522, 0.355)
S (0.179, 0.679, 0.786)
S (0.321, 0.821, 0.214)
S (0.478, 0.959, 0.645)
S (0.613, 0.100, 0.075)
S (0.751, 0.249, 0.500)
S (0.900, 0.387, 0.925)

***

# 9
This entry pairs a crystal structure of PrY2Cd3Ga2Ag with its calculated powder XRD pattern. Radiation: Cu Kα (λ = 1.5418 Å). Structure: a PBE-relaxed structure.
No peak broadening, texture or thermal motion is included.

The 10 most intense peaks (2θ = 15–90°), low angle first:
| Position (°2θ) | intensity |
| --- | --- |
| 31.54 | 1000 |
| 34.47 | 391 |
| 34.58 | 740 |
| 36.84 | 353 |
| 37.02 | 187 |
| 41.18 | 363 |
| 42.14 | 168 |
| 42.40 | 233 |
| 56.44 | 198 |
| 66.60 | 140 |

Cell and atoms:
a = 4.384 Å, b = 7.455 Å, c = 7.455 Å
α = 120.34°, β = 90.00°, γ = 90.00°
Positions (direct):
Pr (0.000, 0.000, 0.000)
Y (0.000, 0.164, 0.583)
Y (0.000, 0.583, 0.164)
Cd (0.500, 0.332, 0.332)
Cd (0.500, 0.579, 0.833)
Cd (0.500, 0.833, 0.579)
Ga (0.500, 0.252, 0.914)
Ga (0.500, 0.914, 0.252)
Ag (0.000, 0.576, 0.576)

***

# 10
This entry pairs a crystal structure of HfZrSbP with its calculated powder XRD pattern. Radiation: Cu Kα (λ = 1.5418 Å). Structure: a PBE-relaxed structure.
No peak broadening, texture or thermal motion is included.

The 10 most intense peaks (2θ = 15–90°), low angle first:
| Position (°2θ) | intensity |
| --- | --- |
| 26.92 | 251 |
| 27.77 | 68 |
| 33.80 | 1000 |
| 40.75 | 84 |
| 43.68 | 95 |
| 47.57 | 320 |
| 49.52 | 121 |
| 59.63 | 193 |
| 64.39 | 130 |
| 79.61 | 167 |

Cell and atoms:
a = 3.823 Å, b = 3.823 Å, c = 13.286 Å
α = 90.00°, β = 90.00°, γ = 120.00°
Positions (direct):
Hf (0.333, 0.667, 0.000)
Hf (0.667, 0.333, 0.500)
Zr (0.333, 0.667, 0.705)
Zr (0.667, 0.333, 0.205)
Sb (0.333, 0.667, 0.353)
Sb (0.667, 0.333, 0.853)
P (0.000, 0.000, 0.100)
P (0.000, 0.000, 0.600)

***

# 11
This entry pairs a crystal structure of Pt15Pb with its calculated powder XRD pattern. Radiation: Cu Kα (λ = 1.5418 Å). Structure: a PBE-relaxed structure.
No peak broadening, texture or thermal motion is included.

The 10 most intense peaks (2θ = 15–90°), low angle first:
| Position (°2θ) | intensity |
| --- | --- |
| 38.01 | 478 |
| 39.37 | 1000 |
| 40.14 | 478 |
| 44.31 | 314 |
| 46.23 | 548 |
| 65.99 | 194 |
| 67.45 | 210 |
| 79.06 | 119 |
| 79.19 | 136 |
| 80.42 | 130 |

Cell and atoms:
a = 7.850 Å, b = 2.819 Å, c = 35.614 Å
α = 90.00°, β = 90.03°, γ = 90.00°
Positions (direct):
Pt (0.114, 0.250, 0.240)
Pt (0.119, 0.250, 0.322)
Pt (0.124, 0.250, 0.402)
Pt (0.125, 0.250, 0.719)
Pt (0.126, 0.250, 0.480)
Pt (0.126, 0.250, 0.558)
Pt (0.126, 0.250, 0.638)
Pt (0.363, 0.750, 0.760)
Pt (0.369, 0.750, 0.679)
Pt (0.374, 0.750, 0.599)
Pt (0.375, 0.750, 0.210)
Pt (0.375, 0.750, 0.285)
Pt (0.375, 0.750, 0.361)
Pt (0.376, 0.750, 0.440)
Pt (0.376, 0.750, 0.519)
Pt (0.624, 0.250, 0.481)
Pt (0.624, 0.250, 0.560)
Pt (0.625, 0.250, 0.639)
Pt (0.625, 0.250, 0.715)
Pt (0.625, 0.250, 0.790)
Pt (0.626, 0.250, 0.401)
Pt (0.631, 0.250, 0.321)
Pt (0.637, 0.250, 0.240)
Pt (0.874, 0.750, 0.362)
Pt (0.874, 0.750, 0.442)
Pt (0.874, 0.750, 0.520)
Pt (0.875, 0.750, 0.281)
Pt (0.876, 0.750, 0.598)
Pt (0.881, 0.750, 0.678)
Pt (0.886, 0.750, 0.760)
Pb (0.125, 0.250, 0.810)
Pb (0.875, 0.750, 0.190)

***

# 12
This entry pairs a crystal structure of Pr5Si4 with its calculated powder XRD pattern. Radiation: Cu Kα (λ = 1.5418 Å). Structure: a PBE-relaxed structure.
No peak broadening, texture or thermal motion is included.

The 10 most intense peaks (2θ = 15–90°), low angle first:
| Position (°2θ) | intensity |
| --- | --- |
| 25.26 | 294 |
| 25.87 | 327 |
| 28.24 | 318 |
| 28.49 | 346 |
| 30.67 | 733 |
| 32.39 | 1000 |
| 33.37 | 454 |
| 35.87 | 452 |
| 47.27 | 321 |
| 51.06 | 400 |

Cell and atoms:
a = 7.948 Å, b = 7.948 Å, c = 15.284 Å
α = 90.00°, β = 90.00°, γ = 90.00°
Positions (direct):
Pr (0.011, 0.378, 0.052)
Pr (0.019, 0.873, 0.124)
Pr (0.122, 0.511, 0.302)
Pr (0.127, 0.981, 0.376)
Pr (0.191, 0.809, 0.750)
Pr (0.309, 0.309, 0.500)
Pr (0.373, 0.481, 0.874)
Pr (0.378, 0.011, 0.948)
Pr (0.481, 0.373, 0.126)
Pr (0.489, 0.878, 0.198)
Pr (0.511, 0.122, 0.698)
Pr (0.519, 0.627, 0.626)
Pr (0.622, 0.989, 0.448)
Pr (0.627, 0.519, 0.374)
Pr (0.691, 0.691, 0.000)
Pr (0.809, 0.191, 0.250)
Pr (0.873, 0.019, 0.876)
Pr (0.878, 0.489, 0.802)
Pr (0.981, 0.127, 0.624)
Pr (0.989, 0.622, 0.552)
Si (0.078, 0.711, 0.940)
Si (0.169, 0.196, 0.798)
Si (0.196, 0.169, 0.202)
Si (0.211, 0.422, 0.690)
Si (0.289, 0.922, 0.560)
Si (0.304, 0.669, 0.048)
Si (0.331, 0.696, 0.452)
Si (0.422, 0.211, 0.310)
Si (0.578, 0.789, 0.810)
Si (0.669, 0.304, 0.952)
Si (0.696, 0.331, 0.548)
Si (0.711, 0.078, 0.060)
Si (0.789, 0.578, 0.190)
Si (0.804, 0.831, 0.702)
Si (0.831, 0.804, 0.298)
Si (0.922, 0.289, 0.440)